For Li3V5O14, DFT lattice parameters and positions (PBE+U) gives the simulated X-ray diffraction stick pattern in this record (a wavelength of 1.5418 Å).
No peak broadening, texture or thermal motion is included.

The 8 most intense peaks (15 to 90 degrees two-theta), most intense first:
(0 0 1), 17.76°, I = 100.0
(1 1 0), 20.35°, I = 45.7
(2 1 0), 31.31°, I = 35.8
(2 1 1), 36.22°, I = 24.5
(2 0 0), 23.54°, I = 23.9
(1 1 1), 27.13°, I = 23.5
(4 1 0), 55.72°, I = 17.5
(4 1 1), 58.96°, I = 13.5

Crystal structure
Cell: 8.7293 8.7293 4.9946 Å, 90.00 90.00 120.00°
Fractional coordinates of all 22 atoms:
Li  0.0000  0.5868  0.0000
Li  0.4132  0.4132  0.0000
Li  0.5868  0.0000  0.0000
V  0.0000  0.2228  0.2429
V  0.2228  0.0000  0.2429
V  0.3333  0.6667  0.2837
V  0.6667  0.3333  0.2837
V  0.7772  0.7772  0.2429
O  0.0000  0.2189  0.5661
O  0.0000  0.8189  0.1398
O  0.1618  0.4680  0.1449
O  0.1811  0.1811  0.1398
O  0.2189  0.0000  0.5661
O  0.3061  0.8382  0.1449
O  0.3333  0.6667  0.6122
O  0.4680  0.1618  0.1449
O  0.5320  0.6939  0.1449
O  0.6667  0.3333  0.6122
O  0.6939  0.5320  0.1449
O  0.7811  0.7811  0.5661
O  0.8189  0.0000  0.1398
O  0.8382  0.3061  0.1449